[1]
This entry pairs a crystal structure of NbInIrPd with its theoretical X-ray diffraction stick pattern. Radiation: λ = 1.5418 Å (Cu Kα). Structure: the PBE geometry in Alexandria.

Main lines, sorted by position (2θ from 5° to 70°):
2θ (°)  I (rel.)
23.73  6
27.47  3
39.24  100
46.37  3
48.56  1
56.70  17
62.32  1
64.13  1

Unit cell a=4.592 b=4.592 c=4.592 alpha=60.00 beta=60.00 gamma=60.00
Element x y z (fractional)
Nb 0.000 0.000 0.000
In 0.500 0.500 0.500
Ir 0.750 0.750 0.750
Pd 0.250 0.250 0.250

=====

[2]
This entry pairs a crystal structure of Nd8In2Ir3 with its theoretical X-ray diffraction stick pattern. Radiation: λ = 1.5418 Å (Cu Kα). Structure: the PBE geometry in Alexandria.

Main lines, sorted by position (2θ from 5° to 70°):
2θ (°)  I (rel.)
11.22  65
19.73  18
26.68  42
27.14  20
32.07  100
32.39  38
38.02  24
45.05  52

Unit cell a=9.207 b=9.207 c=7.074 alpha=107.44 beta=107.44 gamma=49.75
Element x y z (fractional)
Nd 0.091 0.091 0.417
Nd 0.160 0.646 0.098
Nd 0.354 0.840 0.902
Nd 0.355 0.355 0.515
Nd 0.645 0.645 0.485
Nd 0.646 0.160 0.098
Nd 0.840 0.354 0.902
Nd 0.909 0.909 0.583
In 0.247 0.247 0.844
In 0.753 0.753 0.156
Ir 0.000 0.000 0.000
Ir 0.304 0.696 0.500
Ir 0.696 0.304 0.500

=====

Repeat the first record exactly.
This entry pairs a crystal structure of NbInIrPd with its theoretical X-ray diffraction stick pattern. Radiation: λ = 1.5418 Å (Cu Kα). Structure: the PBE geometry in Alexandria.

Main lines, sorted by position (2θ from 5° to 70°):
2θ (°)  I (rel.)
23.73  6
27.47  3
39.24  100
46.37  3
48.56  1
56.70  17
62.32  1
64.13  1

Unit cell a=4.592 b=4.592 c=4.592 alpha=60.00 beta=60.00 gamma=60.00
Element x y z (fractional)
Nb 0.000 0.000 0.000
In 0.500 0.500 0.500
Ir 0.750 0.750 0.750
Pd 0.250 0.250 0.250

=====

Repeat the second record exactly.
This entry pairs a crystal structure of Nd8In2Ir3 with its theoretical X-ray diffraction stick pattern. Radiation: λ = 1.5418 Å (Cu Kα). Structure: the PBE geometry in Alexandria.

Main lines, sorted by position (2θ from 5° to 70°):
2θ (°)  I (rel.)
11.22  65
19.73  18
26.68  42
27.14  20
32.07  100
32.39  38
38.02  24
45.05  52

Unit cell a=9.207 b=9.207 c=7.074 alpha=107.44 beta=107.44 gamma=49.75
Element x y z (fractional)
Nd 0.091 0.091 0.417
Nd 0.160 0.646 0.098
Nd 0.354 0.840 0.902
Nd 0.355 0.355 0.515
Nd 0.645 0.645 0.485
Nd 0.646 0.160 0.098
Nd 0.840 0.354 0.902
Nd 0.909 0.909 0.583
In 0.247 0.247 0.844
In 0.753 0.753 0.156
Ir 0.000 0.000 0.000
Ir 0.304 0.696 0.500
Ir 0.696 0.304 0.500